Theoretical powder diffractogram of Mn2O3F for Cu Ka, from DFT lattice parameters and positions (PBE+U).
Kinematic intensities with the Lorentz-polarization factor, no thermal factor.

Peak list (8 most intense, 10 to 90 degrees two-theta, in order of rising 2θ)
26.9 deg, 3.309 Å, I = 86
28.2 deg, 3.167 Å, I = 91
35.6 deg, 2.523 Å, I = 100
40.4 deg, 2.233 Å, I = 17
53.4 deg, 1.716 Å, I = 52
54.8 deg, 1.675 Å, I = 53
61.3 deg, 1.512 Å, I = 16
68.9 deg, 1.362 Å, I = 35

Crystal structure
Cell: 9.0732 4.5808 4.5808 Å, 87.48 90.00 90.00°
Atoms (fractional coordinates):
Mn 0.0000 0.0000 0.0000
Mn 0.1666 0.5256 0.5256
Mn 0.3327 0.0465 0.0465
Mn 0.5000 0.5146 0.5146
Mn 0.6673 0.0465 0.0465
Mn 0.8334 0.5256 0.5256
O 0.0000 0.7118 0.7118
O 0.1673 0.2107 0.8280
O 0.1673 0.8280 0.2107
O 0.3313 0.3364 0.3364
O 0.5000 0.2389 0.8483
O 0.5000 0.8483 0.2389
O 0.6687 0.3364 0.3364
O 0.8327 0.2107 0.8280
O 0.8327 0.8280 0.2107
F 0.0000 0.3023 0.3023
F 0.3427 0.7383 0.7383
F 0.6573 0.7383 0.7383